The following is a simulated powder XRD pattern of Eu2OsN. It was derived from a cell relaxed with PBE, using λ = 1.5418 Å (Cu Kα).

Principal peaks in the range 15° ≤ 2θ ≤ 90°, most intense first:
hkl 0 0 9, 31.63 deg, I = 100.0; hkl 1 1 9, 65.72 deg, I = 32.1; hkl 0 1 8, 42.60 deg, I = 31.2; hkl 1 0 10, 47.92 deg, I = 27.3; hkl 0 1 2, 32.23 deg, I = 26.8; hkl 1 1 0, 55.97 deg, I = 20.8; hkl 1 0 19, 78.92 deg, I = 8.8; hkl 1 0 7, 40.22 deg, I = 8.4; hkl 0 1 11, 50.82 deg, I = 8.2; hkl 0 0 18, 66.03 deg, I = 7.4

Atomic structure:
Cell lengths 3.2857, 3.2857, 25.4840 Å; angles 90.00, 90.00, 120.00 degrees
Space group R-3m (No. 166, hexagonal axes)
Inequivalent atoms, fractional coordinates:
Eu 0.0000 0.0000 0.1089 [6 per cell]
Os 0.0000 0.0000 0.0000 [3 per cell]
N 0.0000 0.0000 0.5000 [3 per cell]